Pm12DyEr5: calculated powder X-ray diffraction pattern (Cu Kα), based on a crystal structure in Alexandria, relaxed with GGA-PBE.
Intensities are scaled so that the largest is 100.

Most intense lines, 10° ≤ 2θ ≤ 80°, in order of rising 2θ:
- 31.22°, d 2.865, I = 100
- 31.35°, d 2.854, I = 22
- 44.71°, d 2.027, I = 6
- 44.80°, d 2.023, I = 15
- 52.06°, d 1.757, I = 5
- 55.51°, d 1.656, I = 10
- 55.61°, d 1.653, I = 8
- 55.73°, d 1.650, I = 16
- 61.99°, d 1.497, I = 11
- 62.04°, d 1.496, I = 6

Cell and atoms:
Cell: 10.539 10.539 5.707 Å, 90.01 90.01 109.56°
Element x y z (fractional)
Pm (0.030, 0.670, 0.997)
Pm (0.170, 0.530, 0.503)
Pm (0.201, 0.201, 0.497)
Pm (0.298, 0.298, 0.997)
Pm (0.330, 0.970, 0.003)
Pm (0.470, 0.830, 0.497)
Pm (0.530, 0.170, 0.503)
Pm (0.670, 0.030, 0.997)
Pm (0.702, 0.702, 0.003)
Pm (0.799, 0.799, 0.503)
Pm (0.830, 0.470, 0.497)
Pm (0.970, 0.330, 0.003)
Dy (0.500, 0.500, 0.500)
Er (0.000, 0.000, 0.000)
Er (0.135, 0.865, 0.500)
Er (0.365, 0.635, 0.000)
Er (0.635, 0.365, 0.000)
Er (0.865, 0.135, 0.500)